No. 1
Diffraction record for NpSe2Cl5. The powder diffractogram is theoretical, not measured: it uses a cell relaxed with GGA-PBE and Cu Ka.
Kinematic intensities with the Lorentz-polarization factor, no thermal factor.

Top 10 peaks for 10° ≤ 2θ ≤ 90°, sorted by position:
d 7.916, 11.18 deg, rel. 54, (1 1 0); d 5.750, 15.41 deg, rel. 83, (0 2 0); d 5.457, 16.24 deg, rel. 67, (2 0 0); d 4.769, 18.60 deg, rel. 43, (0 1 1); d 4.725, 18.78 deg, rel. 73, (1 0 1); d 3.958, 22.46 deg, rel. 100, (2 2 0); d 3.650, 24.38 deg, rel. 33, (1 2 1); d 2.543, 35.29 deg, rel. 35, (2 4 0); d 2.488, 36.10 deg, rel. 58, (1 1 2); d 1.859, 48.99 deg, rel. 35, (3 3 2)

Cell and atoms:
a = 10.913 Å, b = 11.499 Å, c = 5.241 Å
α = 90.00°, β = 90.00°, γ = 90.00°
Space group Imm2 (No. 44)
Inequivalent atoms, fractional coordinates:
Np: 0.000 0.000 0.000 (multiplicity 2)
Se: 0.000 0.500 0.201 (multiplicity 2)
Se: 0.000 0.500 0.782 (multiplicity 2)
Cl: 0.000 0.000 0.500 (multiplicity 2)
Cl: 0.162 0.153 0.000 (multiplicity 8)

No. 2
Diffraction record for NdReN. The powder diffractogram is theoretical, not measured: it uses a cell relaxed with GGA-PBE and Cu Ka.
Kinematic intensities with the Lorentz-polarization factor, no thermal factor.

Top 10 peaks for 10° ≤ 2θ ≤ 90°, sorted by position:
d 7.121, 12.43 deg, rel. 33, (0 2 0); d 2.824, 31.68 deg, rel. 31, (1 1 0); d 2.773, 32.28 deg, rel. 86, (0 4 1); d 2.380, 37.80 deg, rel. 16, (1 1 1); d 2.211, 40.81 deg, rel. 36, (0 0 2); d 2.152, 41.98 deg, rel. 100, (1 3 1); d 1.662, 55.27 deg, rel. 26, (1 7 0); d 1.329, 70.94 deg, rel. 25, (1 7 2); d 1.279, 74.17 deg, rel. 16, (2 4 1); d 1.265, 75.10 deg, rel. 18, (1 3 3)

Cell and atoms:
a = 2.882 Å, b = 14.243 Å, c = 4.422 Å
α = 90.00°, β = 90.00°, γ = 90.00°
Space group Cmcm (No. 63)
Inequivalent atoms, fractional coordinates:
Nd: 0.000 0.078 0.250 (multiplicity 4)
Re: 0.000 0.213 0.750 (multiplicity 4)
N: 0.000 0.400 0.250 (multiplicity 4)